1.
Computed PXRD pattern of SrCd2InAu for copper Kα, from DFT lattice parameters and positions (PBE).
Kinematic intensities with the Lorentz-polarization factor, no thermal factor.

Crystal structure
```
data_SrCd2InAu
_cell_length_a 4.416
_cell_length_b 4.679
_cell_length_c 12.847
_cell_angle_alpha 90.00
_cell_angle_beta 90.00
_cell_angle_gamma 90.00
_space_group_name_H-M_alt 'I m m 2'
_space_group_IT_number 44
_space_group_name_Hall 'I 2 -2'
loop_
_atom_site_label
_atom_site_type_symbol
_atom_site_fract_x
_atom_site_fract_y
_atom_site_fract_z
_atom_site_occupancy
Sr1 Sr 0.000 0.000 0.000 1
Cd1 Cd 0.000 0.000 0.618 1
Cd2 Cd 0.000 0.500 0.272 1
In1 In 0.000 0.500 0.761 1
Au1 Au 0.000 0.000 0.404 1
```

Most intense lines, 2θ from 15° to 90°, low angle first:
d/Å, Position (°2θ), I (rel.)
4.397, 20.20, 22
4.176, 21.28, 23
3.159, 28.25, 17
3.074, 29.05, 24
2.872, 31.14, 100
2.340, 38.48, 36
2.271, 39.69, 62
2.252, 40.03, 30
2.221, 40.62, 19
2.208, 40.87, 30
1.606, 57.38, 28
1.577, 58.55, 19

=====

2.
Computed PXRD pattern of BaLa2Sn6 for copper Kα, from DFT lattice parameters and positions (PBE).
Kinematic intensities with the Lorentz-polarization factor, no thermal factor.

Crystal structure
```
data_BaLa2Sn6
_cell_length_a 4.667
_cell_length_b 8.729
_cell_length_c 15.170
_cell_angle_alpha 90.00
_cell_angle_beta 90.00
_cell_angle_gamma 90.00
_space_group_name_H-M_alt 'I m m m'
_space_group_IT_number 71
_space_group_name_Hall '-I 2 2'
loop_
_atom_site_label
_atom_site_type_symbol
_atom_site_fract_x
_atom_site_fract_y
_atom_site_fract_z
_atom_site_occupancy
Ba1 Ba 0.000 0.000 0.000 1
La1 La 0.000 0.500 0.131 1
Sn1 Sn 0.000 0.182 0.500 1
Sn2 Sn 0.000 0.281 0.310 1
```

Most intense lines, 2θ from 15° to 90°, low angle first:
d/Å, Position (°2θ), I (rel.)
3.784, 23.51, 17
3.618, 24.61, 36
3.120, 28.61, 100
2.864, 31.23, 18
2.789, 32.09, 44
2.697, 33.22, 18
2.544, 35.28, 37
2.524, 35.57, 65
2.334, 38.58, 35
2.198, 41.07, 30
1.713, 53.48, 41
1.459, 63.77, 20

=====

3.
Computed PXRD pattern of PmPrTlBr for copper Kα, from DFT lattice parameters and positions (PBE).
Kinematic intensities with the Lorentz-polarization factor, no thermal factor.

Crystal structure
```
data_PmPrTlBr
_cell_length_a 7.756
_cell_length_b 7.756
_cell_length_c 7.756
_cell_angle_alpha 90.00
_cell_angle_beta 90.00
_cell_angle_gamma 90.00
_space_group_name_H-M_alt 'F -4 3 m'
_space_group_IT_number 216
_space_group_name_Hall 'F -4 2 3'
loop_
_atom_site_label
_atom_site_type_symbol
_atom_site_fract_x
_atom_site_fract_y
_atom_site_fract_z
_atom_site_occupancy
Pm1 Pm 0.000 0.000 0.000 1
Pr1 Pr 0.000 0.000 0.500 1
Tl1 Tl 0.250 0.250 0.750 1
Br1 Br 0.250 0.250 0.250 1
```

Most intense lines, 2θ from 15° to 90°, low angle first:
d/Å, Position (°2θ), I (rel.)
4.478, 19.83, 9
2.742, 32.66, 100
2.339, 38.50, 6
1.939, 46.85, 18
1.779, 51.35, 3
1.583, 58.28, 38
1.493, 62.19, 2
1.371, 68.43, 12
1.311, 72.04, 2
1.226, 77.90, 17
1.183, 81.35, 1
1.119, 87.04, 4

=====

4.
Computed PXRD pattern of ZrScCr2 for copper Kα, from DFT lattice parameters and positions (PBE).
Kinematic intensities with the Lorentz-polarization factor, no thermal factor.

Crystal structure
```
data_ZrScCr2
_cell_length_a 3.157
_cell_length_b 4.627
_cell_length_c 9.395
_cell_angle_alpha 90.00
_cell_angle_beta 90.00
_cell_angle_gamma 90.00
_space_group_name_H-M_alt 'I m m 2'
_space_group_IT_number 44
_space_group_name_Hall 'I 2 -2'
loop_
_atom_site_label
_atom_site_type_symbol
_atom_site_fract_x
_atom_site_fract_y
_atom_site_fract_z
_atom_site_occupancy
Zr1 Zr 0.000 0.000 0.000 1
Sc1 Sc 0.000 0.500 0.225 1
Cr1 Cr 0.000 0.000 0.453 1
Cr2 Cr 0.000 0.500 0.779 1
```

Most intense lines, 2θ from 15° to 90°, low angle first:
d/Å, Position (°2θ), I (rel.)
4.697, 18.89, 10
2.993, 29.86, 7
2.593, 34.59, 17
2.349, 38.32, 19
2.313, 38.93, 29
2.280, 39.52, 100
1.648, 55.78, 12
1.615, 57.04, 9
1.579, 58.47, 8
1.329, 70.91, 16
1.324, 71.22, 8
1.304, 72.49, 8

=====

5.
Computed PXRD pattern of Hf4Zr2Sc5 for copper Kα, from DFT lattice parameters and positions (PBE).
Kinematic intensities with the Lorentz-polarization factor, no thermal factor.

Crystal structure
```
data_Hf4Zr2Sc5
_cell_length_a 21.625
_cell_length_b 3.136
_cell_length_c 7.787
_cell_angle_alpha 90.00
_cell_angle_beta 95.75
_cell_angle_gamma 90.00
_space_group_name_H-M_alt 'C 1 2/m 1'
_space_group_IT_number 12
_space_group_name_Hall '-C 2y'
loop_
_atom_site_label
_atom_site_type_symbol
_atom_site_fract_x
_atom_site_fract_y
_atom_site_fract_z
_atom_site_occupancy
Hf1 Hf 0.038 0.000 0.351 1
Hf2 Hf 0.224 0.500 0.838 1
Zr1 Zr 0.086 0.500 0.696 1
Sc1 Sc 0.000 0.500 0.000 1
Sc2 Sc 0.134 0.000 0.052 1
Sc3 Sc 0.184 0.000 0.477 1
```

Most intense lines, 2θ from 15° to 90°, low angle first:
d/Å, Position (°2θ), I (rel.)
5.379, 16.48, 43
4.642, 19.12, 24
2.867, 31.20, 100
2.624, 34.18, 87
2.570, 34.91, 73
2.509, 35.79, 69
2.368, 38.00, 97
2.353, 38.24, 92
1.971, 46.04, 30
1.901, 47.84, 24
1.577, 58.53, 36
1.345, 69.92, 44

=====

6.
Computed PXRD pattern of Na8B13C3 for copper Kα, from DFT lattice parameters and positions (PBE).
Kinematic intensities with the Lorentz-polarization factor, no thermal factor.

Crystal structure
```
data_Na8B13C3
_cell_length_a 10.189
_cell_length_b 2.795
_cell_length_c 10.192
_cell_angle_alpha 90.00
_cell_angle_beta 116.86
_cell_angle_gamma 90.00
_space_group_name_H-M_alt 'P 1 m 1'
_space_group_IT_number 6
_space_group_name_Hall 'P -2y'
loop_
_atom_site_label
_atom_site_type_symbol
_atom_site_fract_x
_atom_site_fract_y
_atom_site_fract_z
_atom_site_occupancy
Na1 Na 0.000 0.000 0.000 1
Na2 Na 0.000 0.500 0.497 1
Na3 Na 0.250 0.000 0.747 1
Na4 Na 0.252 0.500 0.252 1
Na5 Na 0.501 0.000 0.496 1
Na6 Na 0.504 0.500 0.998 1
Na7 Na 0.749 0.500 0.747 1
Na8 Na 0.751 0.000 0.248 1
B1 B 0.050 0.500 0.796 1
B2 B 0.058 0.000 0.306 1
B3 B 0.213 0.500 0.960 1
B4 B 0.221 0.000 0.466 1
B5 B 0.319 0.000 0.067 1
B6 B 0.442 0.500 0.686 1
B7 B 0.542 0.000 0.787 1
B8 B 0.544 0.500 0.292 1
B9 B 0.700 0.000 0.947 1
B10 B 0.773 0.000 0.521 1
B11 B 0.797 0.500 0.046 1
B12 B 0.942 0.000 0.688 1
B13 B 0.956 0.500 0.206 1
C1 C 0.297 0.500 0.540 1
C2 C 0.465 0.000 0.214 1
C3 C 0.697 0.500 0.445 1
```

Most intense lines, 2θ from 15° to 90°, low angle first:
d/Å, Position (°2θ), I (rel.)
2.668, 33.60, 14
2.476, 36.29, 17
2.273, 39.66, 51
2.171, 41.61, 38
2.151, 42.01, 100
1.632, 56.37, 10
1.500, 61.84, 18
1.397, 66.97, 8
1.249, 76.21, 13
1.234, 77.31, 17
1.190, 80.72, 9
1.175, 82.01, 8

=====

7.
Computed PXRD pattern of La7GeP5 for copper Kα, from DFT lattice parameters and positions (PBE).
Kinematic intensities with the Lorentz-polarization factor, no thermal factor.

Crystal structure
```
data_La7GeP5
_cell_length_a 4.275
_cell_length_b 14.039
_cell_length_c 25.116
_cell_angle_alpha 90.00
_cell_angle_beta 90.00
_cell_angle_gamma 90.00
_space_group_name_H-M_alt 'C m c m'
_space_group_IT_number 63
_space_group_name_Hall '-C 2c 2'
loop_
_atom_site_label
_atom_site_type_symbol
_atom_site_fract_x
_atom_site_fract_y
_atom_site_fract_z
_atom_site_occupancy
La1 La 0.000 0.047 0.250 1
La2 La 0.000 0.137 0.535 1
La3 La 0.000 0.317 0.176 1
La4 La 0.000 0.412 0.606 1
Ge1 Ge 0.000 0.298 0.750 1
P1 P 0.000 0.046 0.646 1
P2 P 0.000 0.227 0.074 1
P3 P 0.000 0.500 0.000 1
```

Most intense lines, 2θ from 15° to 90°, low angle first:
d/Å, Position (°2θ), I (rel.)
3.674, 24.22, 18
3.476, 25.63, 26
3.427, 26.00, 47
3.195, 27.93, 100
3.171, 28.14, 25
3.061, 29.17, 79
2.953, 30.26, 70
2.305, 39.07, 18
2.139, 42.26, 57
2.126, 42.52, 28
1.776, 51.44, 37
1.356, 69.28, 23

=====

8.
Computed PXRD pattern of K2CaCdH6 for copper Kα, from DFT lattice parameters and positions (PBE).
Kinematic intensities with the Lorentz-polarization factor, no thermal factor.

Crystal structure
```
data_K2CaCdH6
_cell_length_a 4.306
_cell_length_b 4.306
_cell_length_c 8.461
_cell_angle_alpha 90.00
_cell_angle_beta 90.00
_cell_angle_gamma 90.00
_space_group_name_H-M_alt 'P 4/m m m'
_space_group_IT_number 123
_space_group_name_Hall '-P 4 2'
loop_
_atom_site_label
_atom_site_type_symbol
_atom_site_fract_x
_atom_site_fract_y
_atom_site_fract_z
_atom_site_occupancy
K1 K 0.000 0.000 0.229 1
Ca1 Ca 0.500 0.500 0.500 1
Cd1 Cd 0.500 0.500 0.000 1
H1 H 0.000 0.500 0.000 1
H2 H 0.000 0.500 0.500 1
H3 H 0.500 0.500 0.232 1
```

Most intense lines, 2θ from 15° to 90°, low angle first:
d/Å, Position (°2θ), I (rel.)
4.306, 20.63, 13
3.838, 23.18, 12
3.045, 29.33, 52
3.018, 29.60, 100
2.865, 31.22, 11
2.359, 38.14, 10
2.153, 41.96, 20
2.115, 42.75, 9
1.753, 52.19, 37
1.737, 52.69, 17
1.509, 61.45, 11
1.149, 84.25, 9

=====

9.
Computed PXRD pattern of Ba3ZnHg for copper Kα, from DFT lattice parameters and positions (PBE).
Kinematic intensities with the Lorentz-polarization factor, no thermal factor.

Crystal structure
```
data_Ba3ZnHg
_cell_length_a 5.941
_cell_length_b 23.403
_cell_length_c 5.945
_cell_angle_alpha 90.00
_cell_angle_beta 90.00
_cell_angle_gamma 90.00
_space_group_name_H-M_alt 'C m c m'
_space_group_IT_number 63
_space_group_name_Hall '-C 2c 2'
loop_
_atom_site_label
_atom_site_type_symbol
_atom_site_fract_x
_atom_site_fract_y
_atom_site_fract_z
_atom_site_occupancy
Ba1 Ba 0.000 0.077 0.250 1
Ba2 Ba 0.000 0.250 0.250 1
Ba3 Ba 0.000 0.423 0.250 1
Zn1 Zn 0.000 0.158 0.750 1
Hg1 Hg 0.000 0.341 0.750 1
```

Most intense lines, 2θ from 15° to 90°, low angle first:
d/Å, Position (°2θ), I (rel.)
3.127, 28.54, 100
2.972, 30.07, 61
2.616, 34.27, 26
2.101, 43.05, 23
1.744, 52.47, 37
1.631, 56.43, 17
1.429, 65.27, 11
1.329, 70.91, 10
1.308, 72.21, 9
1.131, 85.94, 9
1.111, 87.92, 11
1.098, 89.17, 10